Ba4Nb2O9: theoretical powder diffractogram (Cu Ka), based on DFT lattice parameters and positions (PBE).
No peak broadening, texture or thermal motion is included.

Largest 10 diffraction maxima, by angle, 10° ≤ 2θ ≤ 80°:
- d 8.508, I 17.9
- d 3.298, I 100.0
- d 3.014, I 95.7
- d 2.493, I 20.6
- d 2.225, I 56.2
- d 1.921, I 15.0
- d 1.790, I 33.0
- d 1.739, I 31.5
- d 1.619, I 16.7
- d 1.507, I 18.3

Structural model:
```
Ba4Nb2O9
1.0
6.0271 0.0000 0.0000
-3.0135 5.2196 0.0000
0.0000 0.0000 8.5080
Ba Nb O
4 2 9
Cartesian
0.0000 0.0000 0.0000
0.0000 0.0000 4.2540
0.0000 3.4797 2.1700
3.0135 1.7399 6.3380
0.0000 3.4797 5.6497
3.0135 1.7399 2.8583
-1.5068 2.6098 4.2540
0.0000 1.8162 6.5891
-1.4407 4.3115 6.5891
1.5728 0.9081 1.9189
3.0135 0.0000 4.2540
1.5068 2.6098 4.2540
1.4407 4.3115 6.5891
4.4542 0.9081 1.9189
3.0135 3.4034 1.9189
```

=====

BaNb7O9: theoretical powder diffractogram (Cu Ka), based on DFT lattice parameters and positions (PBE).
No peak broadening, texture or thermal motion is included.

Largest 10 diffraction maxima, by angle, 10° ≤ 2θ ≤ 80°:
- d 2.984, I 100.0
- d 2.921, I 47.2
- d 2.710, I 45.4
- d 2.442, I 45.1
- d 2.123, I 87.6
- d 2.098, I 41.8
- d 1.730, I 38.6
- d 1.501, I 27.0
- d 1.492, I 52.1
- d 1.221, I 25.6

Structural model:
```
BaNb7O9
1.0
4.2468 0.0000 0.0000
0.0000 4.2468 0.0000
0.0000 0.0000 12.5854
Ba Nb O
1 7 9
Cartesian
0.0000 0.0000 0.0000
0.0000 2.1234 4.1336
0.0000 2.1234 8.4518
2.1234 0.0000 4.1336
2.1234 0.0000 8.4518
2.1234 2.1234 2.1189
2.1234 2.1234 6.2927
2.1234 2.1234 10.4665
0.0000 0.0000 4.2124
0.0000 0.0000 8.3729
0.0000 2.1234 2.0242
0.0000 2.1234 6.2927
0.0000 2.1234 10.5611
2.1234 0.0000 2.0242
2.1234 0.0000 6.2927
2.1234 0.0000 10.5611
2.1234 2.1234 0.0000
```

=====

Ba5Nb2O10: theoretical powder diffractogram (Cu Ka), based on DFT lattice parameters and positions (PBE).
No peak broadening, texture or thermal motion is included.

Largest 10 diffraction maxima, by angle, 10° ≤ 2θ ≤ 80°:
- d 3.480, I 77.5
- d 3.089, I 100.0
- d 3.079, I 53.9
- d 3.024, I 60.6
- d 2.307, I 37.2
- d 2.171, I 25.2
- d 2.160, I 29.4
- d 1.850, I 17.0
- d 1.779, I 21.3
- d 1.771, I 16.6

Structural model:
```
Ba5Nb2O10
1.0
3.0787 -5.3567 0.0000
3.0787 5.3567 0.0000
0.0000 0.0000 18.3353
Ba Nb O
10 4 20
Cartesian
3.0787 -5.3520 0.0000
3.0787 5.3520 9.1676
3.0787 5.3164 14.1204
3.0787 2.0602 2.8139
3.0787 1.8012 7.0507
3.0787 1.5994 11.2833
3.0787 -1.5994 2.1157
3.0787 -1.8012 16.2184
3.0787 -2.0602 11.9816
3.0787 -5.3164 4.9528
3.0787 1.8115 17.6979
3.0787 1.7498 14.7475
3.0787 -1.7498 5.5798
3.0787 -1.8115 8.5303
1.6646 2.7232 13.8417
1.6010 2.5284 0.3736
3.0787 4.6831 2.4810
1.7247 0.9958 16.1828
3.0787 3.3506 16.3168
1.7247 -0.9958 7.0151
4.4927 2.7232 13.8417
3.0787 0.1623 13.6706
3.0787 0.0696 0.2530
1.6010 -2.5284 9.5412
4.5563 2.5284 0.3736
3.0787 -0.0696 9.4206
3.0787 -0.1623 4.5030
1.6646 -2.7232 4.6741
4.4326 0.9958 16.1828
3.0787 -3.3506 7.1491
4.4326 -0.9958 7.0151
3.0787 -4.6831 11.6486
4.5563 -2.5284 9.5412
4.4927 -2.7232 4.6741
```

=====

Ba2Nb5O9: theoretical powder diffractogram (Cu Ka), based on DFT lattice parameters and positions (PBE).
No peak broadening, texture or thermal motion is included.

Largest 10 diffraction maxima, by angle, 10° ≤ 2θ ≤ 80°:
- d 2.990, I 17.1
- d 2.957, I 100.0
- d 2.907, I 33.4
- d 2.694, I 26.9
- d 2.153, I 16.3
- d 2.114, I 52.2
- d 2.069, I 24.1
- d 1.720, I 40.0
- d 1.495, I 16.1
- d 1.479, I 30.6

Structural model:
```
Ba2Nb5O9
1.0
4.2284 0.0000 0.0000
0.0000 4.2284 0.0000
0.0000 0.0000 12.4114
Ba Nb O
2 5 9
Cartesian
0.0000 0.0000 2.0932
0.0000 0.0000 10.3182
0.0000 2.1142 6.2057
2.1142 0.0000 6.2057
2.1142 2.1142 0.0000
2.1142 2.1142 4.1867
2.1142 2.1142 8.2247
0.0000 0.0000 6.2057
0.0000 2.1142 0.0000
0.0000 2.1142 4.0680
0.0000 2.1142 8.3434
2.1142 0.0000 0.0000
2.1142 0.0000 4.0680
2.1142 0.0000 8.3434
2.1142 2.1142 2.0038
2.1142 2.1142 10.4076
```